No. 1
The following is a computed powder XRD pattern of Rb2DyVF6. It was derived from DFT lattice parameters and positions (GGA+U), using λ = 1.5418 Å (Cu Kα).

Structural model:
```
Rb2DyVF6
1.0
-3.045 3.057 5.404
3.045 -3.057 5.404
3.045 3.057 -5.404
Rb Dy V F
2 1 1 6
direct
0.248 0.248 0.000
0.752 0.752 0.000
0.500 0.000 0.500
0.000 0.500 0.500
0.247 0.253 0.500
0.247 0.747 0.994
0.299 0.799 0.500
0.701 0.201 0.500
0.753 0.253 0.006
0.753 0.747 0.500
```

Principal peaks in the range 10° ≤ 2θ ≤ 90°, by angle:
| two_theta | I/Imax |
| --- | --- |
| 16.7 | 34 |
| 26.4 | 100 |
| 29.2 | 19 |
| 29.3 | 18 |
| 33.2 | 26 |
| 41.9 | 29 |
| 44.8 | 20 |
| 54.4 | 23 |



No. 2
The following is a computed powder XRD pattern of HgMoIO4. It was derived from DFT lattice parameters and positions (GGA+U), using λ = 1.5418 Å (Cu Kα).

Structural model:
```
HgMoIO4
1.0
6.285 -3.128 0.000
6.285 3.128 0.000
-2.323 0.000 7.331
Hg Mo I O
2 2 2 8
direct
0.183 0.183 0.253
0.817 0.817 0.747
0.113 0.113 0.700
0.887 0.887 0.300
0.452 0.452 0.820
0.548 0.548 0.180
0.047 0.047 0.381
0.055 0.580 0.338
0.135 0.135 0.941
0.420 0.945 0.662
0.580 0.055 0.338
0.865 0.865 0.059
0.945 0.420 0.662
0.953 0.953 0.619
```

Principal peaks in the range 10° ≤ 2θ ≤ 90°, by angle:
| two_theta | I/Imax |
| --- | --- |
| 16.0 | 42 |
| 21.4 | 40 |
| 24.3 | 93 |
| 26.2 | 64 |
| 26.5 | 100 |
| 28.5 | 71 |
| 31.2 | 35 |
| 37.8 | 45 |